Li2CaTa2O7: computed X-ray diffraction stick pattern (CuKα), based on a cell relaxed with PBE.
Kinematic intensities with the Lorentz-polarization factor, no thermal factor.

Top 10 peaks for 2θ = 10–90°, in order of rising 2θ:
19.26 deg, d 4.609, rel. 55, hkl 0 4 0
23.22 deg, d 3.830, rel. 100, hkl 1 1 1
27.00 deg, d 3.302, rel. 58, hkl 1 3 1
32.11 deg, d 2.787, rel. 24, hkl 2 0 0
32.54 deg, d 2.751, rel. 24, hkl 0 0 2
33.38 deg, d 2.684, rel. 67, hkl 1 5 1
46.37 deg, d 1.958, rel. 30, hkl 2 0 2
50.27 deg, d 1.815, rel. 25, hkl 1 9 1
50.65 deg, d 1.802, rel. 19, hkl 2 4 2
58.60 deg, d 1.575, rel. 17, hkl 1 5 3

Crystal structure
Cell: 5.5743 18.4355 5.5024 Å, 90.00 90.00 90.00°
Space group Pnma (No. 62)
Asymmetric unit:
Li 0.0086 0.0127 0.2476 x8
Ca 0.2051 0.2500 0.9986 x4
Ta 0.2402 0.1381 0.5013 x8
O 0.0293 0.6650 0.2811 x8
O 0.0397 0.1318 0.2103 x8
O 0.2277 0.7500 0.9206 x4
O 0.2436 0.0370 0.5489 x8